No. 1
Simulated X-ray diffraction stick pattern of Tm5Sb2Te for a wavelength of 1.5418 Å, from a GGA-PBE-relaxed structure.
Kinematic intensities with the Lorentz-polarization factor, no thermal factor.

The 10 most intense peaks (10 to 90 degrees two-theta), low angle first:
d 3.614, 2θ = 24.6°, I = 43, hkl 0 2 3
d 2.994, 2θ = 29.8°, I = 87, hkl 2 0 0
d 2.835, 2θ = 31.6°, I = 43, hkl 1 1 4
d 2.704, 2θ = 33.1°, I = 100, hkl 1 3 3
d 2.546, 2θ = 35.2°, I = 28, hkl 0 4 3
d 2.306, 2θ = 39.1°, I = 26, hkl 2 2 3
d 2.263, 2θ = 39.8°, I = 25, hkl 1 5 1
d 1.940, 2θ = 46.8°, I = 25, hkl 2 4 3
d 1.784, 2θ = 51.2°, I = 23, hkl 2 0 6
d 1.667, 2θ = 55.1°, I = 24, hkl 3 3 3

Structure:
```
data_Tm5Sb2Te
_chemical_formula_sum 'Tm20 Sb8 Te4'
_space_group_name_H-M_alt 'C m c m'
_space_group_IT_number 63
_space_group_name_Hall '-C 2c 2'
_cell_length_a 5.9886
_cell_length_b 12.4300
_cell_length_c 13.3261
_cell_angle_alpha 90.00
_cell_angle_beta 90.00
_cell_angle_gamma 90.00
loop_
_atom_site_label
_atom_site_fract_x
_atom_site_fract_y
_atom_site_fract_z
Tm1 0.0000 0.0533 0.1115
Tm2 0.0000 0.3539 0.7500
Tm3 0.0000 0.3785 0.0597
Sb1 0.0000 0.1853 0.5825
Te1 0.0000 0.2427 0.2500
```



No. 2
Simulated X-ray diffraction stick pattern of BAuC for a wavelength of 1.5418 Å, from a GGA-PBE-relaxed structure.
Kinematic intensities with the Lorentz-polarization factor, no thermal factor.

The 10 most intense peaks (10 to 90 degrees two-theta), low angle first:
d 4.681, 2θ = 19.0°, I = 99, hkl 0 0 1
d 2.436, 2θ = 36.9°, I = 80, hkl 1 0 0
d 2.340, 2θ = 38.5°, I = 26, hkl 0 0 2
d 2.161, 2θ = 41.8°, I = 100, hkl 1 0 1
d 1.688, 2θ = 54.4°, I = 52, hkl 1 0 2
d 1.406, 2θ = 66.5°, I = 16, hkl 1 1 0
d 1.347, 2θ = 69.8°, I = 21, hkl 1 1 1
d 1.314, 2θ = 71.9°, I = 21, hkl 1 0 3
d 1.205, 2θ = 79.5°, I = 19, hkl 1 1 2
d 1.179, 2θ = 81.7°, I = 15, hkl 2 0 1

Structure:
```
data_BAuC
_chemical_formula_sum 'B1 Au1 C1'
_space_group_name_H-M_alt 'P -6 m 2'
_space_group_IT_number 187
_space_group_name_Hall 'P -6 2'
_cell_length_a 2.8123
_cell_length_b 2.8123
_cell_length_c 4.6810
_cell_angle_alpha 90.00
_cell_angle_beta 90.00
_cell_angle_gamma 120.00
loop_
_atom_site_label
_atom_site_fract_x
_atom_site_fract_y
_atom_site_fract_z
B1 0.0000 0.0000 0.0000
Au1 0.6667 0.3333 0.5000
C1 0.6667 0.3333 0.0000
```



No. 3
Simulated X-ray diffraction stick pattern of PmEr2PaN4 for a wavelength of 1.5418 Å, from a GGA-PBE-relaxed structure.
Kinematic intensities with the Lorentz-polarization factor, no thermal factor.

The 10 most intense peaks (10 to 90 degrees two-theta), low angle first:
d 2.853, 2θ = 31.4°, I = 100, hkl 0 0 2
d 2.840, 2θ = 31.5°, I = 33, hkl 2 0 0
d 2.473, 2θ = 36.3°, I = 62, hkl 1 1 1
d 2.458, 2θ = 36.6°, I = 30, hkl 2 0 -2
d 1.748, 2θ = 52.3°, I = 32, hkl 0 2 0
d 1.747, 2θ = 52.4°, I = 11, hkl 2 0 2
d 1.739, 2θ = 52.6°, I = 21, hkl 3 1 -1
d 1.492, 2θ = 62.2°, I = 20, hkl 1 1 3
d 1.487, 2θ = 62.4°, I = 15, hkl 2 0 -4
d 1.426, 2θ = 65.5°, I = 11, hkl 2 2 -2

Structure:
```
data_PmEr2PaN4
_chemical_formula_sum 'Pm1 Er2 Pa1 N4'
_space_group_name_H-M_alt 'P 1 2/m 1'
_space_group_IT_number 10
_cell_length_a 6.0134
_cell_length_b 3.5007
_cell_length_c 6.0498
_cell_angle_alpha 90.00
_cell_angle_beta 109.19
_cell_angle_gamma 90.00
loop_
_space_group_symop_operation_xyz
'x,y,z'
'-x,-y,-z'
'-x,y,-z'
'x,-y,z'
loop_
_atom_site_label
_atom_site_fract_x
_atom_site_fract_y
_atom_site_fract_z
Pm1 0.0000 0.0000 0.0000
Er1 0.5000 0.0000 0.5000
Er2 0.5000 0.5000 0.0000
Pa1 0.0000 0.5000 0.5000
N1 0.2501 0.0000 0.7385
N2 0.2504 0.5000 0.2707
```



No. 4
Simulated X-ray diffraction stick pattern of Pa2PO4 for a wavelength of 1.5418 Å, from a GGA-PBE-relaxed structure.
Kinematic intensities with the Lorentz-polarization factor, no thermal factor.

The 10 most intense peaks (10 to 90 degrees two-theta), low angle first:
d 3.779, 2θ = 23.5°, I = 99, hkl 2 0 0
d 2.920, 2θ = 30.6°, I = 100, hkl 1 1 1
d 2.672, 2θ = 33.5°, I = 47, hkl 2 2 0
d 1.971, 2θ = 46.0°, I = 83, hkl 3 1 1
d 1.889, 2θ = 48.2°, I = 16, hkl 4 0 0
d 1.690, 2θ = 54.3°, I = 18, hkl 4 2 0
d 1.586, 2θ = 58.2°, I = 19, hkl 3 3 1
d 1.583, 2θ = 58.3°, I = 18, hkl 2 0 2
d 1.460, 2θ = 63.8°, I = 16, hkl 2 2 2
d 1.364, 2θ = 68.8°, I = 21, hkl 5 1 1

Structure:
```
data_Pa2PO4
_chemical_formula_sum 'Pa4 P2 O8'
_space_group_name_H-M_alt 'P 42/m n m'
_space_group_IT_number 136
_space_group_name_Hall '-P 4n 2n'
_cell_length_a 7.5570
_cell_length_b 7.5570
_cell_length_c 3.4858
_cell_angle_alpha 90.00
_cell_angle_beta 90.00
_cell_angle_gamma 90.00
loop_
_atom_site_label
_atom_site_fract_x
_atom_site_fract_y
_atom_site_fract_z
Pa1 0.2380 0.2380 0.0000
P1 0.0000 0.0000 0.5000
O1 0.0909 0.6807 0.0000
```



No. 5
Simulated X-ray diffraction stick pattern of BiTe2Pd7Pb2 for a wavelength of 1.5418 Å, from a GGA-PBE-relaxed structure.
Kinematic intensities with the Lorentz-polarization factor, no thermal factor.

The 10 most intense peaks (10 to 90 degrees two-theta), low angle first:
d 7.535, 2θ = 11.7°, I = 50, hkl 0 0 2
d 3.517, 2θ = 25.3°, I = 61, hkl 1 1 2
d 2.666, 2θ = 33.6°, I = 61, hkl 2 0 -3
d 2.641, 2θ = 33.9°, I = 62, hkl 2 0 2
d 2.524, 2θ = 35.6°, I = 67, hkl 0 2 3
d 2.228, 2θ = 40.5°, I = 58, hkl 2 0 -5
d 2.203, 2θ = 41.0°, I = 59, hkl 2 0 4
d 2.097, 2θ = 43.1°, I = 76, hkl 0 2 5
d 2.073, 2θ = 43.7°, I = 100, hkl 2 2 -1
d 2.071, 2θ = 43.7°, I = 49, hkl 2 2 0

Structure:
```
data_BiTe2Pd7Pb2
_chemical_formula_sum 'Bi2 Te4 Pd14 Pb4'
_space_group_name_H-M_alt 'C 1 2/m 1'
_space_group_IT_number 12
_cell_length_a 5.9112
_cell_length_b 5.8398
_cell_length_c 15.1617
_cell_angle_alpha 90.00
_cell_angle_beta 96.28
_cell_angle_gamma 90.00
loop_
_space_group_symop_operation_xyz
'x,y,z'
'-x,-y,-z'
'-x,y,-z'
'x,-y,z'
'x+1/2,y+1/2,z'
'-x+1/2,-y+1/2,-z'
'-x+1/2,y+1/2,-z'
'x+1/2,-y+1/2,z'
loop_
_atom_site_label
_atom_site_fract_x
_atom_site_fract_y
_atom_site_fract_z
Bi1 0.0000 0.0000 0.0000
Te1 0.0682 0.5000 0.2473
Pd1 0.0000 0.5000 0.0000
Pd2 0.1257 0.5000 0.4269
Pd3 0.2117 0.2493 0.8624
Pb1 0.1226 0.0000 0.3999
```



No. 6
Simulated X-ray diffraction stick pattern of PrSm2Hg5 for a wavelength of 1.5418 Å, from a GGA-PBE-relaxed structure.
Kinematic intensities with the Lorentz-polarization factor, no thermal factor.

The 10 most intense peaks (10 to 90 degrees two-theta), low angle first:
d 3.752, 2θ = 23.7°, I = 2, hkl 0 0 4
d 2.654, 2θ = 33.8°, I = 100, hkl 2 0 0
d 1.879, 2θ = 48.5°, I = 13, hkl 2 2 0
d 1.872, 2θ = 48.6°, I = 5, hkl 0 0 8
d 1.533, 2θ = 60.4°, I = 25, hkl 3 1 4
d 1.531, 2θ = 60.5°, I = 11, hkl 2 0 8
d 1.328, 2θ = 71.0°, I = 4, hkl 4 0 0
d 1.326, 2θ = 71.1°, I = 7, hkl 2 2 8
d 1.188, 2θ = 80.9°, I = 11, hkl 4 2 0
d 1.185, 2θ = 81.2°, I = 4, hkl 1 1 12

Structure:
```
data_PrSm2Hg5
_chemical_formula_sum 'Pr2 Sm4 Hg10'
_space_group_name_H-M_alt 'I 4/m m m'
_space_group_IT_number 139
_space_group_name_Hall '-I 4 2'
_cell_length_a 5.3132
_cell_length_b 5.3132
_cell_length_c 14.9798
_cell_angle_alpha 90.00
_cell_angle_beta 90.00
_cell_angle_gamma 90.00
loop_
_atom_site_label
_atom_site_fract_x
_atom_site_fract_y
_atom_site_fract_z
Pr1 0.0000 0.0000 0.0000
Sm1 0.0000 0.0000 0.2685
Hg1 0.0000 0.0000 0.5000
Hg2 0.0000 0.5000 0.1250
```



No. 7
Simulated X-ray diffraction stick pattern of CuCO for a wavelength of 1.5418 Å, from a GGA-PBE-relaxed structure.
Kinematic intensities with the Lorentz-polarization factor, no thermal factor.

The 10 most intense peaks (10 to 90 degrees two-theta), low angle first:
d 7.157, 2θ = 12.4°, I = 100, hkl 0 0 1
d 3.579, 2θ = 24.9°, I = 15, hkl 0 0 2
d 3.233, 2θ = 27.6°, I = 6, hkl 0 1 -2
d 2.386, 2θ = 37.7°, I = 13, hkl 0 0 3
d 2.201, 2θ = 41.0°, I = 6, hkl 1 0 -1
d 2.195, 2θ = 41.1°, I = 9, hkl 0 2 0
d 2.146, 2θ = 42.1°, I = 8, hkl 0 2 -2
d 1.956, 2θ = 46.4°, I = 7, hkl 0 2 1
d 1.889, 2θ = 48.2°, I = 6, hkl 0 2 -3
d 1.789, 2θ = 51.1°, I = 5, hkl 0 0 4

Structure:
```
data_CuCO
_chemical_formula_sum 'Cu2 C2 O2'
_space_group_name_H-M_alt 'P -1'
_space_group_IT_number 2
_cell_length_a 2.2869
_cell_length_b 4.6651
_cell_length_c 7.4566
_cell_angle_alpha 104.19
_cell_angle_beta 94.67
_cell_angle_gamma 102.28
loop_
_space_group_symop_operation_xyz
'x,y,z'
'-x,-y,-z'
loop_
_atom_site_label
_atom_site_fract_x
_atom_site_fract_y
_atom_site_fract_z
Cu1 0.1323 0.2573 0.4907
C1 0.1113 0.1221 0.7389
O1 0.3330 0.8164 0.1516
```



No. 8
Simulated X-ray diffraction stick pattern of Pr2Sm3Ho4 for a wavelength of 1.5418 Å, from a GGA-PBE-relaxed structure.
Kinematic intensities with the Lorentz-polarization factor, no thermal factor.

The 10 most intense peaks (10 to 90 degrees two-theta), low angle first:
d 2.940, 2θ = 30.4°, I = 100, hkl 2 1 1
d 2.548, 2θ = 35.2°, I = 34, hkl 1 1 3
d 2.542, 2θ = 35.3°, I = 17, hkl 1 2 -1
d 1.803, 2θ = 50.6°, I = 12, hkl 1 -3 1
d 1.799, 2θ = 50.8°, I = 24, hkl 3 0 3
d 1.537, 2θ = 60.2°, I = 14, hkl 1 3 4
d 1.535, 2θ = 60.3°, I = 21, hkl 4 0 1
d 1.533, 2θ = 60.4°, I = 7, hkl 3 3 0
d 1.469, 2θ = 63.3°, I = 9, hkl 4 2 2
d 1.167, 2θ = 82.6°, I = 7, hkl 4 4 3

Structure:
```
data_Pr2Sm3Ho4
_chemical_formula_sum 'Pr2 Sm3 Ho4'
_space_group_name_H-M_alt 'P -1'
_space_group_IT_number 2
_cell_length_a 6.2300
_cell_length_b 6.2401
_cell_length_c 8.0507
_cell_angle_alpha 82.45
_cell_angle_beta 75.07
_cell_angle_gamma 80.54
loop_
_space_group_symop_operation_xyz
'x,y,z'
'-x,-y,-z'
loop_
_atom_site_label
_atom_site_fract_x
_atom_site_fract_y
_atom_site_fract_z
Pr1 0.1679 0.3319 0.3325
Sm1 0.0573 0.1102 0.7787
Sm2 0.5000 0.0000 0.0000
Ho1 0.2775 0.5536 0.8886
Ho2 0.3908 0.7753 0.4452
```



> What is the formula in the fourth record?

Pa2PO4